Diffraction record for ZnH4I2O8. The XRD peak list is computed, not measured: it uses a structure optimized by DFT (GGA-PBE) and a wavelength of 1.5418 Å.
Peak positions follow from Bragg's law for the DFT cell and can differ from measured ones.

Structure:
Unit cell a=4.9910 b=6.7382 c=11.0729 alpha=99.67 beta=90.22 gamma=91.93
Fractional coordinates of all 30 atoms:
1 Zn 0.0000 0.0000 0.0000
2 Zn 0.0000 0.0000 0.5000
3 H 0.2418 0.3685 0.0288
4 H 0.2897 0.3433 0.5495
5 H 0.4408 0.1987 0.4416
6 H 0.4596 0.2147 0.0457
7 H 0.5404 0.7853 0.9543
8 H 0.5592 0.8013 0.5584
9 H 0.7103 0.6567 0.4505
10 H 0.7582 0.6315 0.9712
11 I 0.1090 0.7107 0.7275
12 I 0.3598 0.7706 0.2261
13 I 0.6402 0.2294 0.7739
14 I 0.8910 0.2893 0.2725
15 O 0.1578 0.5570 0.1465
16 O 0.1934 0.9771 0.1667
17 O 0.2075 0.7934 0.3775
18 O 0.2402 0.8004 0.8840
19 O 0.2613 0.2363 0.4753
20 O 0.2662 0.9011 0.6436
21 O 0.3093 0.2352 0.9894
22 O 0.3436 0.5108 0.6787
23 O 0.6564 0.4892 0.3213
24 O 0.6907 0.7648 0.0106
25 O 0.7338 0.0989 0.3564
26 O 0.7387 0.7637 0.5247
27 O 0.7598 0.1996 0.1160
28 O 0.7925 0.2066 0.6225
29 O 0.8066 0.0229 0.8333
30 O 0.8422 0.4430 0.8535

Main lines, in order of rising 2θ (2θ from 10° to 80°):
16.24°, rel. 75
21.91°, rel. 33
22.66°, rel. 97
22.77°, rel. 34
23.26°, rel. 53
24.09°, rel. 38
24.93°, rel. 47
26.10°, rel. 100
28.64°, rel. 67
29.04°, rel. 47

***

Diffraction record for CsIn2GaBr4. The XRD peak list is computed, not measured: it uses a structure optimized by DFT (GGA-PBE) and a wavelength of 1.5418 Å.
Peak positions follow from Bragg's law for the DFT cell and can differ from measured ones.

Structure:
Unit cell a=9.6102 b=9.6102 c=9.5910 alpha=119.92 beta=119.92 gamma=89.99
Fractional coordinates of all 16 atoms:
1 Cs 0.0000 0.5000 0.0000
2 Cs 0.5000 0.0000 0.5000
3 In 0.0000 0.0000 0.0000
4 In 0.0000 0.0000 0.5000
5 In 0.0000 0.5000 0.5000
6 In 0.5000 0.0000 0.0000
7 Ga 0.5000 0.5000 0.0000
8 Ga 0.5000 0.5000 0.5000
9 Br 0.2515 0.2657 0.5076
10 Br 0.2571 0.7424 0.9836
11 Br 0.2576 0.7429 0.5164
12 Br 0.2657 0.2515 0.0076
13 Br 0.7343 0.7485 0.9924
14 Br 0.7424 0.2571 0.4836
15 Br 0.7429 0.2576 0.0164
16 Br 0.7485 0.7343 0.4924

Main lines, in order of rising 2θ (2θ from 10° to 80°):
26.22°, rel. 100
37.41°, rel. 64
37.51°, rel. 12
46.20°, rel. 14
46.35°, rel. 13
53.96°, rel. 13
60.84°, rel. 6
60.97°, rel. 23
67.42°, rel. 13
67.61°, rel. 12

***

Diffraction record for CeZrSc3. The XRD peak list is computed, not measured: it uses a structure optimized by DFT (GGA-PBE) and a wavelength of 1.5418 Å.
Peak positions follow from Bragg's law for the DFT cell and can differ from measured ones.

Structure:
Unit cell a=3.2117 b=7.9454 c=10.3299 alpha=108.49 beta=90.03 gamma=90.04
Fractional coordinates of all 10 atoms:
1 Ce 0.2491 0.3153 0.4755
2 Ce 0.7509 0.6847 0.5245
3 Zr 0.2491 0.3157 0.9356
4 Zr 0.7509 0.6843 0.0644
5 Sc 0.2499 0.8894 0.8618
6 Sc 0.2510 0.4910 0.2385
7 Sc 0.2516 0.9062 0.3373
8 Sc 0.7484 0.0938 0.6627
9 Sc 0.7490 0.5090 0.7615
10 Sc 0.7501 0.1106 0.1382

Main lines, in order of rising 2θ (2θ from 10° to 80°):
11.74°, rel. 29
18.15°, rel. 69
30.25°, rel. 40
33.39°, rel. 100
34.32°, rel. 66
34.58°, rel. 66
34.74°, rel. 57
36.77°, rel. 64
37.60°, rel. 26
51.33°, rel. 24

***

Diffraction record for Li7CdCu2. The XRD peak list is computed, not measured: it uses a structure optimized by DFT (GGA-PBE) and a wavelength of 1.5418 Å.
Peak positions follow from Bragg's law for the DFT cell and can differ from measured ones.

Structure:
Unit cell a=12.0901 b=12.0901 c=2.6826 alpha=90.00 beta=90.00 gamma=155.34
Fractional coordinates of all 10 atoms:
1 Li 0.0000 0.0000 0.0000
2 Li 0.1490 0.3565 0.0000
3 Li 0.2903 0.7097 0.5000
4 Li 0.3565 0.1490 0.0000
5 Li 0.6435 0.8510 0.0000
6 Li 0.7097 0.2903 0.5000
7 Li 0.8510 0.6435 0.0000
8 Cd 0.5000 0.5000 0.5000
9 Cu 0.1947 0.8053 0.0000
10 Cu 0.8053 0.1947 0.0000

Main lines, in order of rising 2θ (2θ from 10° to 80°):
15.00°, rel. 36
20.57°, rel. 100
22.58°, rel. 24
31.67°, rel. 25
34.28°, rel. 23
34.74°, rel. 17
38.00°, rel. 36
38.10°, rel. 16
42.52°, rel. 43
49.61°, rel. 17